No. 1
Structure and theoretical XRD peak list of Y2Sc5Ir3 (a crystal structure in Alexandria, relaxed with GGA-PBE; a wavelength of 1.5418 Å).
Kinematic intensities with the Lorentz-polarization factor, no thermal factor.

Atomic structure:
abc: 4.622 27.382 6.810
angles: 90.00 90.00 90.00
Space group Cmc2_1 (No. 36)
Unique sites:
1 Y 0.000 0.022 0.000 (multiplicity 4)
2 Y 0.000 0.329 0.894 (multiplicity 4)
3 Sc 0.000 0.100 0.631 (multiplicity 4)
4 Sc 0.000 0.201 0.053 (multiplicity 4)
5 Sc 0.000 0.224 0.610 (multiplicity 4)
6 Sc 0.000 0.379 0.453 (multiplicity 4)
7 Sc 0.000 0.446 0.835 (multiplicity 4)
8 Ir 0.000 0.111 0.235 (multiplicity 4)
9 Ir 0.000 0.286 0.304 (multiplicity 4)
10 Ir 0.000 0.456 0.217 (multiplicity 4)

Principal peaks in the range 2θ = 5–70°, by intensity:
2θ = 23.47°, I = 100, hkl 0 6 1
2θ = 36.66°, I = 44, hkl 1 5 2
2θ = 38.97°, I = 38, hkl 2 0 0
2θ = 25.23°, I = 33, hkl 1 5 0
2θ = 34.15°, I = 30, hkl 1 3 2
2θ = 35.32°, I = 25, hkl 1 9 0
2θ = 32.75°, I = 22, hkl 1 7 1
2θ = 46.00°, I = 21, hkl 2 6 1
2θ = 44.55°, I = 20, hkl 0 6 3
2θ = 43.37°, I = 20, hkl 1 11 1



No. 2
Structure and theoretical XRD peak list of YScZnIr (a crystal structure in Alexandria, relaxed with GGA-PBE; a wavelength of 1.5418 Å).
Kinematic intensities with the Lorentz-polarization factor, no thermal factor.

Atomic structure:
abc: 6.785 6.785 6.785
angles: 90.00 90.00 90.00
Space group F-43m (No. 216)
Unique sites:
1 Y 0.000 0.000 0.000 (multiplicity 4)
2 Sc 0.000 0.000 0.500 (multiplicity 4)
3 Zn 0.250 0.250 0.750 (multiplicity 4)
4 Ir 0.250 0.250 0.250 (multiplicity 4)

Principal peaks in the range 2θ = 5–70°, by intensity:
2θ = 37.49°, I = 100, hkl 2 2 0
2θ = 67.65°, I = 34, hkl 4 2 2
2θ = 22.70°, I = 24, hkl 1 1 1
2θ = 54.07°, I = 17, hkl 4 0 0
2θ = 44.28°, I = 13, hkl 3 1 1
2θ = 26.27°, I = 12, hkl 2 0 0
2θ = 59.38°, I = 6, hkl 3 3 1
2θ = 61.08°, I = 5, hkl 4 2 0
2θ = 46.36°, I = 4, hkl 2 2 2



No. 3
Structure and theoretical XRD peak list of Sc4ZnIr (a crystal structure in Alexandria, relaxed with GGA-PBE; a wavelength of 1.5418 Å).
Kinematic intensities with the Lorentz-polarization factor, no thermal factor.

Atomic structure:
abc: 11.023 3.500 7.671
angles: 90.00 121.30 90.00
Space group Cm (No. 8)
Unique sites:
1 Sc 0.000 0.000 0.000 (multiplicity 2)
2 Sc 0.050 0.500 0.664 (multiplicity 2)
3 Sc 0.231 0.000 0.533 (multiplicity 2)
4 Sc 0.319 0.500 0.257 (multiplicity 2)
5 Zn 0.265 0.000 0.930 (multiplicity 2)
6 Ir 0.025 0.500 0.290 (multiplicity 2)

Principal peaks in the range 2θ = 5–70°, by intensity:
2θ = 16.51°, I = 100, hkl 2 0 -1
2θ = 13.51°, I = 84, hkl 0 0 1
2θ = 27.19°, I = 56, hkl 1 1 0
2θ = 37.65°, I = 55, hkl 3 1 -2
2θ = 38.52°, I = 51, hkl 3 1 0
2θ = 42.37°, I = 48, hkl 1 1 2
2θ = 35.44°, I = 45, hkl 3 1 -1
2θ = 32.66°, I = 44, hkl 1 1 1
2θ = 38.22°, I = 42, hkl 4 0 0
2θ = 28.13°, I = 35, hkl 1 1 -1



No. 4
Structure and theoretical XRD peak list of ZrScIr2 (a crystal structure in Alexandria, relaxed with GGA-PBE; a wavelength of 1.5418 Å).
Kinematic intensities with the Lorentz-polarization factor, no thermal factor.

Atomic structure:
abc: 4.742 4.742 3.120
angles: 90.00 90.00 90.00
Space group P4/mmm (No. 123)
Unique sites:
1 Zr 0.000 0.000 0.000 (multiplicity 1)
2 Sc 0.500 0.500 0.000 (multiplicity 1)
3 Ir 0.000 0.500 0.500 (multiplicity 2)

Principal peaks in the range 2θ = 5–70°, by intensity:
2θ = 39.45°, I = 100, hkl 1 1 1
2θ = 37.95°, I = 56, hkl 2 0 0
2θ = 69.56°, I = 37, hkl 3 1 1
2θ = 26.58°, I = 30, hkl 1 1 0
2θ = 54.75°, I = 19, hkl 2 2 0
2θ = 48.21°, I = 13, hkl 2 0 1
2θ = 28.61°, I = 12, hkl 0 0 1
2θ = 59.23°, I = 8, hkl 0 0 2
2θ = 61.88°, I = 6, hkl 3 1 0
2θ = 62.94°, I = 6, hkl 2 2 1



No. 5
Structure and theoretical XRD peak list of Ir3Se4 (a crystal structure in Alexandria, relaxed with GGA-PBE; a wavelength of 1.5418 Å).
Kinematic intensities with the Lorentz-polarization factor, no thermal factor.

Atomic structure:
abc: 3.351 3.351 24.773
angles: 90.00 90.00 90.00
Space group I4/mmm (No. 139)
Unique sites:
1 Ir 0.000 0.000 0.000 (multiplicity 2)
2 Ir 0.000 0.000 0.282 (multiplicity 4)
3 Se 0.000 0.000 0.180 (multiplicity 4)
4 Se 0.000 0.000 0.443 (multiplicity 4)

Principal peaks in the range 2θ = 5–70°, by intensity:
2θ = 14.30°, I = 100, hkl 0 0 4
2θ = 36.94°, I = 94, hkl 1 0 7
2θ = 37.98°, I = 74, hkl 1 1 0
2θ = 48.72°, I = 55, hkl 1 0 11
2θ = 7.14°, I = 43, hkl 0 0 2
2θ = 67.93°, I = 32, hkl 2 1 7
2θ = 40.77°, I = 31, hkl 1 1 4
2θ = 54.79°, I = 26, hkl 2 0 0
2θ = 28.76°, I = 13, hkl 1 0 3
2θ = 56.94°, I = 12, hkl 2 0 4



No. 6
Structure and theoretical XRD peak list of Si2IrSe (a crystal structure in Alexandria, relaxed with GGA-PBE; a wavelength of 1.5418 Å).
Kinematic intensities with the Lorentz-polarization factor, no thermal factor.

Atomic structure:
abc: 5.981 3.448 6.796
angles: 90.00 107.41 90.00
Space group C2/m (No. 12)
Unique sites:
1 Si 0.242 0.000 0.221 (multiplicity 4)
2 Ir 0.000 0.500 0.000 (multiplicity 2)
3 Se 0.000 0.000 0.500 (multiplicity 2)

Principal peaks in the range 2θ = 5–70°, by intensity:
2θ = 35.31°, I = 100, hkl 1 1 1
2θ = 31.32°, I = 87, hkl 2 0 0
2θ = 13.66°, I = 64, hkl 0 0 1
2θ = 35.13°, I = 51, hkl 2 0 -2
2θ = 53.08°, I = 47, hkl 0 2 0
2θ = 27.51°, I = 42, hkl 0 0 2
2θ = 48.18°, I = 40, hkl 1 1 -3
2θ = 30.26°, I = 24, hkl 1 1 0
2θ = 48.39°, I = 20, hkl 2 0 2
2θ = 65.30°, I = 17, hkl 2 2 -2



Please write out number 1 again, unchanged.
Structure and theoretical XRD peak list of Y2Sc5Ir3 (a crystal structure in Alexandria, relaxed with GGA-PBE; a wavelength of 1.5418 Å).
Kinematic intensities with the Lorentz-polarization factor, no thermal factor.

Atomic structure:
abc: 4.622 27.382 6.810
angles: 90.00 90.00 90.00
Space group Cmc2_1 (No. 36)
Unique sites:
1 Y 0.000 0.022 0.000 (multiplicity 4)
2 Y 0.000 0.329 0.894 (multiplicity 4)
3 Sc 0.000 0.100 0.631 (multiplicity 4)
4 Sc 0.000 0.201 0.053 (multiplicity 4)
5 Sc 0.000 0.224 0.610 (multiplicity 4)
6 Sc 0.000 0.379 0.453 (multiplicity 4)
7 Sc 0.000 0.446 0.835 (multiplicity 4)
8 Ir 0.000 0.111 0.235 (multiplicity 4)
9 Ir 0.000 0.286 0.304 (multiplicity 4)
10 Ir 0.000 0.456 0.217 (multiplicity 4)

Principal peaks in the range 2θ = 5–70°, by intensity:
2θ = 23.47°, I = 100, hkl 0 6 1
2θ = 36.66°, I = 44, hkl 1 5 2
2θ = 38.97°, I = 38, hkl 2 0 0
2θ = 25.23°, I = 33, hkl 1 5 0
2θ = 34.15°, I = 30, hkl 1 3 2
2θ = 35.32°, I = 25, hkl 1 9 0
2θ = 32.75°, I = 22, hkl 1 7 1
2θ = 46.00°, I = 21, hkl 2 6 1
2θ = 44.55°, I = 20, hkl 0 6 3
2θ = 43.37°, I = 20, hkl 1 11 1



- Number 1 is which compound?
  Y2Sc5Ir3